No. 1
Starting from DFT lattice parameters and positions (PBE), the powder diffraction line list of LiGaBr2 was computed for Cu Kα, 1.54184 Å.

Main lines, sorted by position (2θ from 10° to 90°):
2theta	intensity	index
24.13	100.0	1 1 2
26.45	22.0	1 0 3
30.70	34.3	2 1 1
37.83	27.2	2 2 0
40.90	44.8	2 0 4
41.00	12.3	3 0 1
45.39	22.1	3 1 2
50.62	12.7	1 1 6
54.56	17.3	4 0 0
70.41	10.5	4 2 4

Crystal structure
a = 6.7241 Å, b = 6.7241 Å, c = 11.6926 Å
α = 90.00°, β = 90.00°, γ = 90.00°
Space group I-42d (No. 122)
One atom of each set of equivalent atoms:
1 Li 0.0000 0.0000 0.0000 (multiplicity 4)
2 Ga 0.0000 0.0000 0.5000 (multiplicity 4)
3 Br 0.1894 0.2500 0.1250 (multiplicity 8)

No. 2
Starting from DFT lattice parameters and positions (PBE), the powder diffraction line list of Na2LiGaBr5 was computed for Cu Kα, 1.54184 Å.

Main lines, sorted by position (2θ from 10° to 90°):
2theta	intensity	index
16.53	22.9	0 2 2
19.04	33.9	0 4 1
20.02	29.2	1 1 0
24.48	34.4	1 1 2
27.59	100.0	0 4 3
29.16	75.2	1 1 3
29.71	25.4	1 5 0
36.66	32.5	1 5 3
39.63	31.6	2 0 0
48.97	34.4	2 4 3

Crystal structure
a = 4.5489 Å, b = 20.0422 Å, c = 12.6962 Å
α = 90.00°, β = 90.00°, γ = 90.00°
Space group Cmc2_1 (No. 36)
One atom of each set of equivalent atoms:
1 Na 0.0000 0.1352 0.0000 (multiplicity 4)
2 Na 0.0000 0.1638 0.3255 (multiplicity 4)
3 Li 0.0000 0.2035 0.7209 (multiplicity 4)
4 Ga 0.0000 0.4399 0.0952 (multiplicity 4)
5 Br 0.0000 0.0607 0.6841 (multiplicity 4)
6 Br 0.0000 0.3067 0.3260 (multiplicity 4)
7 Br 0.0000 0.3259 0.6631 (multiplicity 4)
8 Br 0.0000 0.3337 0.9837 (multiplicity 4)
9 Br 0.0000 0.4719 0.4572 (multiplicity 4)

No. 3
Starting from DFT lattice parameters and positions (PBE), the powder diffraction line list of Li4Ga3Si3BrO12 was computed for Cu Kα, 1.54184 Å.

Main lines, sorted by position (2θ from 10° to 90°):
2theta	intensity	index
14.45	18.3	1 1 0
20.50	29.3	2 0 0
22.95	14.9	2 1 0
25.17	100.0	2 1 1
35.90	24.1	2 2 2
38.88	42.6	3 2 1
46.89	13.8	4 2 0
49.32	13.4	3 3 2
60.43	24.4	4 4 0
66.51	15.1	5 3 2

Crystal structure
a = 8.6662 Å, b = 8.6662 Å, c = 8.6662 Å
α = 90.00°, β = 90.00°, γ = 90.00°
Space group P-43n (No. 218)
One atom of each set of equivalent atoms:
1 Li 0.1781 0.1781 0.1781 (multiplicity 8)
2 Ga 0.0000 0.2500 0.5000 (multiplicity 6)
3 Si 0.0000 0.5000 0.2500 (multiplicity 6)
4 Br 0.0000 0.0000 0.0000 (multiplicity 2)
5 O 0.0956 0.3719 0.6470 (multiplicity 24)

No. 4
Starting from DFT lattice parameters and positions (PBE), the powder diffraction line list of RbLiGa2Br4 was computed for Cu Kα, 1.54184 Å.

Main lines, sorted by position (2θ from 10° to 90°):
2theta	intensity	index
22.96	16.6	1 3 0
27.80	100.0	0 0 2
30.35	13.7	3 3 -2
39.72	65.6	4 0 0
41.61	9.6	1 3 2
49.17	20.0	4 4 0
57.44	10.0	8 0 -4
64.95	13.4	8 0 -2
65.03	9.9	8 0 -6
72.07	11.4	8 4 -2

Crystal structure
a = 12.8265 Å, b = 12.8448 Å, c = 9.0671 Å
α = 90.00°, β = 134.91°, γ = 90.00°
Space group C2/c (No. 15)
One atom of each set of equivalent atoms:
1 Rb 0.2500 0.2500 0.0000 (multiplicity 4)
2 Li 0.0000 0.0000 0.0000 (multiplicity 4)
3 Ga 0.0000 0.5000 0.0000 (multiplicity 4)
4 Ga 0.2500 0.2500 0.5000 (multiplicity 4)
5 Br 0.0000 0.2039 0.0159 (multiplicity 8)
6 Br 0.2400 0.4916 0.4890 (multiplicity 8)

No. 5
Starting from DFT lattice parameters and positions (PBE), the powder diffraction line list of MgGaBr3 was computed for Cu Kα, 1.54184 Å.

Main lines, sorted by position (2θ from 10° to 90°):
2theta	intensity	index
14.61	14.1	1 0 2
28.90	12.0	2 1 0
29.48	100.0	2 0 4
29.90	21.8	1 1 3
30.44	22.6	1 0 5
31.20	13.9	2 1 2
42.78	13.3	3 1 4
45.78	15.8	0 2 0
48.25	15.5	1 1 7
55.37	21.1	5 0 5

Crystal structure
a = 9.8595 Å, b = 3.9644 Å, c = 15.3814 Å
α = 90.00°, β = 90.00°, γ = 90.00°
Space group Pnma (No. 62)
One atom of each set of equivalent atoms:
1 Mg 0.1565 0.2500 0.0520 (multiplicity 4)
2 Ga 0.0268 0.2500 0.6668 (multiplicity 4)
3 Br 0.0192 0.2500 0.8986 (multiplicity 4)
4 Br 0.1788 0.2500 0.4969 (multiplicity 4)
5 Br 0.2302 0.7500 0.7077 (multiplicity 4)

No. 6
Starting from DFT lattice parameters and positions (PBE), the powder diffraction line list of MgGa2Br6 was computed for Cu Kα, 1.54184 Å.

Main lines, sorted by position (2θ from 10° to 90°):
2theta	intensity	index
12.19	43.4	0 2 0
16.86	32.3	2 2 0
18.06	31.5	0 2 1
18.49	53.8	3 1 0
23.02	38.4	1 3 -1
23.34	66.5	4 0 0
23.86	44.2	1 3 1
27.70	100.0	3 3 -1
28.78	54.5	1 1 2
43.09	35.6	5 1 2

Crystal structure
a = 15.3693 Å, b = 14.5262 Å, c = 6.7213 Å
α = 90.00°, β = 97.21°, γ = 90.00°
Space group C2/c (No. 15)
One atom of each set of equivalent atoms:
1 Mg 0.0000 0.0016 0.2500 (multiplicity 4)
2 Ga 0.0804 0.4190 0.2656 (multiplicity 8)
3 Br 0.0888 0.0912 0.5284 (multiplicity 8)
4 Br 0.1416 0.4357 0.6308 (multiplicity 8)
5 Br 0.1603 0.2983 0.1572 (multiplicity 8)